For Ce3Pt2Au4, a DFT-relaxed cell (PBE, Alexandria) gives the theoretical powder X-ray diffraction pattern in this record (Cu Kα X-rays).

The 10 most intense peaks (5 to 70 degrees two-theta), low angle first:
| 2θ/deg | intensity |
| --- | --- |
| 23.04 | 35.4 |
| 31.56 | 26.0 |
| 34.79 | 61.1 |
| 35.69 | 48.8 |
| 36.29 | 17.2 |
| 37.88 | 100.0 |
| 38.55 | 51.0 |
| 40.71 | 26.5 |
| 66.67 | 20.9 |
| 69.30 | 17.3 |

Crystal structure
```
Ce3Pt2Au4
1.0
5.132 -2.336 0.000
5.132 2.336 0.000
-2.817 0.000 8.505
Ce Pt Au
3 2 4
Direct
0.000 0.000 0.000
0.128 0.128 0.701
0.872 0.872 0.299
0.431 0.431 0.723
0.569 0.569 0.277
0.213 0.213 0.402
0.320 0.320 0.053
0.680 0.680 0.947
0.787 0.787 0.598
```